No. 1
Na2LiIn2Sn2: calculated powder X-ray diffraction pattern (Cu Ka), based on a crystal structure in Alexandria, relaxed with GGA-PBE.

Principal peaks in the range 2θ from 5° to 70°, low angle first:
d 4.432, 20.04 deg, rel. 65; d 2.643, 33.92 deg, rel. 97; d 2.608, 34.38 deg, rel. 100; d 2.151, 42.01 deg, rel. 32; d 1.857, 49.07 deg, rel. 34; d 1.513, 61.29 deg, rel. 35

Cell and atoms:
abc: 8.180 8.180 8.180
angles: 37.19 37.19 37.19
Fractional positions:
Na: 0.139 0.139 0.139
Na: 0.861 0.861 0.861
Li: 0.000 0.000 0.000
In: 0.421 0.421 0.421
In: 0.579 0.579 0.579
Sn: 0.283 0.283 0.283
Sn: 0.717 0.717 0.717

***

No. 2
LiNd6In: calculated powder X-ray diffraction pattern (Cu Ka), based on a crystal structure in Alexandria, relaxed with GGA-PBE.

Principal peaks in the range 2θ from 5° to 70°, low angle first:
d 2.900, 30.84 deg, rel. 100; d 2.604, 34.44 deg, rel. 39; d 2.352, 38.27 deg, rel. 12; d 1.841, 49.51 deg, rel. 14; d 1.745, 52.42 deg, rel. 19; d 1.554, 59.47 deg, rel. 31

Cell and atoms:
abc: 10.103 10.103 10.103
angles: 150.13 150.13 42.75
Fractional positions:
Li: 0.000 0.000 0.000
Nd: 0.113 0.613 0.500
Nd: 0.249 0.249 0.000
Nd: 0.387 0.887 0.500
Nd: 0.613 0.113 0.500
Nd: 0.751 0.751 0.000
Nd: 0.887 0.387 0.500
In: 0.500 0.500 0.000

***

No. 3
LiNd4In: calculated powder X-ray diffraction pattern (Cu Ka), based on a crystal structure in Alexandria, relaxed with GGA-PBE.

Principal peaks in the range 2θ from 5° to 70°, low angle first:
d 11.750, 7.52 deg, rel. 100; d 3.690, 24.12 deg, rel. 20; d 2.933, 30.48 deg, rel. 24; d 2.838, 31.52 deg, rel. 76; d 2.683, 33.40 deg, rel. 61; d 2.661, 33.68 deg, rel. 35

Cell and atoms:
abc: 12.048 12.048 6.768
angles: 90.00 90.00 154.48
Fractional positions:
Li: 0.061 0.939 0.500
Li: 0.939 0.061 0.000
Nd: 0.075 0.925 0.005
Nd: 0.190 0.810 0.343
Nd: 0.216 0.784 0.851
Nd: 0.365 0.635 0.106
Nd: 0.635 0.365 0.606
Nd: 0.784 0.216 0.351
Nd: 0.810 0.190 0.843
Nd: 0.925 0.075 0.505
In: 0.342 0.658 0.590
In: 0.658 0.342 0.090